Entry 1:
# Na2LaInI
Simulated powder X-ray diffraction pattern, Cu Kα (λ = 1.5418 Å). Input: the PBE geometry in Alexandria.

Cell: 6.640 6.640 6.014 Å, 90.00 90.00 90.00°
Sites, in units of the cell vectors:
Na (0.000, 0.500, 0.000)
Na (0.500, 0.000, 0.000)
La (0.000, 0.000, 0.000)
In (0.500, 0.500, 0.500)
I (0.000, 0.000, 0.500)

Largest 12 diffraction maxima, low angle first, 2θ from 10° to 90°:
d (Å)	Position (°2θ)	intensity
6.640	13.33	43
4.695	18.90	100
4.458	19.92	26
3.701	24.05	25
3.320	26.85	72
3.007	29.71	28
2.532	35.45	41
2.348	38.34	28
2.229	40.47	48
2.100	43.08	24
1.850	49.24	27
1.722	53.21	25

=====

Entry 2:
# Nd2Y6Er2Th
Simulated powder X-ray diffraction pattern, Cu Kα (λ = 1.5418 Å). Input: the PBE geometry in Alexandria.

Cell: 6.650 6.650 10.718 Å, 90.00 90.00 129.33°
Sites, in units of the cell vectors:
Nd (0.136, 0.864, 0.000)
Nd (0.864, 0.136, 0.000)
Y (0.000, 0.000, 0.290)
Y (0.000, 0.000, 0.710)
Y (0.347, 0.653, 0.216)
Y (0.347, 0.653, 0.784)
Y (0.653, 0.347, 0.216)
Y (0.653, 0.347, 0.784)
Er (0.200, 0.800, 0.500)
Er (0.800, 0.200, 0.500)
Th (0.500, 0.500, 0.500)

Largest 12 diffraction maxima, low angle first, 2θ from 10° to 90°:
d (Å)	Position (°2θ)	intensity
5.359	16.54	10
4.638	19.14	11
2.934	30.46	24
2.894	30.90	19
2.846	31.44	35
2.795	32.02	100
2.680	33.44	21
2.029	44.66	14
1.951	46.55	17
1.633	56.33	20
1.494	62.15	12
1.488	62.42	12